(1)
Starting from a PBE-relaxed structure, the powder diffractogram of EuErGa was simulated for Cu Ka.
Peak positions follow from Bragg's law for the DFT cell and can differ from measured ones.

a = 5.0647 Å, b = 5.0647 Å, c = 3.7693 Å
α = 90.00°, β = 90.00°, γ = 120.00°
Space group P3m1 (No. 156)
Unique sites:
Eu (0.0000, 0.0000, 0.0000)
Er (0.3333, 0.6667, 0.4574)
Ga (0.6667, 0.3333, 0.6169)

Most intense lines, 2θ from 10° to 80°, sorted by position:
- hkl 1 0 0, 20.25°, I = 13
- hkl 0 1 1, 31.29°, I = 100
- hkl 1 1 0, 35.45°, I = 67
- hkl 2 0 1, 47.99°, I = 30
- hkl 1 0 2, 52.87°, I = 11
- hkl 1 2 1, 61.06°, I = 30
- hkl 1 1 2, 61.31°, I = 16
- hkl 3 0 0, 63.64°, I = 12
- hkl 2 2 0, 75.01°, I = 8
- hkl 2 1 2, 76.53°, I = 7

(2)
Starting from a PBE-relaxed structure, the powder diffractogram of Li2EuEr was simulated for Cu Ka.
Peak positions follow from Bragg's law for the DFT cell and can differ from measured ones.

a = 7.666 Å, b = 7.666 Å, c = 7.666 Å
α = 90.00°, β = 90.00°, γ = 90.00°
Space group Fm-3m (No. 225)
Unique sites:
Li (0.250, 0.250, 0.250)
Eu (0.000, 0.000, 0.000)
Er (0.000, 0.000, 0.500)

Most intense lines, 2θ from 10° to 80°, sorted by position:
- hkl 2 0 0, 23.21°, I = 100
- hkl 2 2 0, 33.05°, I = 94
- hkl 2 2 2, 40.77°, I = 31
- hkl 4 0 0, 47.44°, I = 17
- hkl 4 2 0, 53.45°, I = 42
- hkl 4 2 2, 59.03°, I = 36
- hkl 4 4 0, 69.34°, I = 11
- hkl 6 0 0, 74.22°, I = 20
- hkl 6 2 0, 78.99°, I = 15

(3)
Starting from a PBE-relaxed structure, the powder diffractogram of EuErN was simulated for Cu Ka.
Peak positions follow from Bragg's law for the DFT cell and can differ from measured ones.

a = 3.5457 Å, b = 3.5457 Å, c = 6.3038 Å
α = 90.00°, β = 90.00°, γ = 120.00°
Space group P3m1 (No. 156)
Unique sites:
Eu (0.0000, 0.0000, 0.0000)
Er (0.3333, 0.6667, 0.4387)
N (0.6667, 0.3333, 0.2696)

Most intense lines, 2θ from 10° to 80°, sorted by position:
- hkl 0 0 1, 14.05°, I = 10
- hkl 0 0 2, 28.31°, I = 26
- hkl 1 0 0, 29.08°, I = 19
- hkl 0 1 1, 32.43°, I = 100
- hkl 1 0 2, 41.04°, I = 26
- hkl 1 1 0, 51.55°, I = 20
- hkl 0 1 3, 52.79°, I = 21
- hkl 1 1 2, 59.86°, I = 19
- hkl 2 0 1, 62.24°, I = 15
- hkl 1 0 4, 66.71°, I = 8

(4)
Starting from a PBE-relaxed structure, the powder diffractogram of PrEu2Er was simulated for Cu Ka.
Peak positions follow from Bragg's law for the DFT cell and can differ from measured ones.

a = 3.686 Å, b = 3.686 Å, c = 10.704 Å
α = 90.00°, β = 90.00°, γ = 90.00°
Space group P4/mmm (No. 123)
Unique sites:
Pr (0.000, 0.000, 0.000)
Eu (0.500, 0.500, 0.257)
Er (0.000, 0.000, 0.500)

Most intense lines, 2θ from 10° to 80°, sorted by position:
- hkl 1 0 2, 29.43°, I = 100
- hkl 0 0 4, 33.49°, I = 18
- hkl 1 1 0, 34.41°, I = 33
- hkl 1 1 4, 48.78°, I = 25
- hkl 2 0 0, 49.46°, I = 12
- hkl 1 0 6, 57.38°, I = 15
- hkl 2 1 2, 58.60°, I = 29
- hkl 2 0 4, 61.05°, I = 13
- hkl 2 2 0, 72.55°, I = 4
- hkl 2 1 6, 79.11°, I = 12

(5)
Starting from a PBE-relaxed structure, the powder diffractogram of EuEr2S4 was simulated for Cu Ka.
Peak positions follow from Bragg's law for the DFT cell and can differ from measured ones.

a = 11.871 Å, b = 3.942 Å, c = 14.189 Å
α = 90.00°, β = 90.00°, γ = 90.00°
Space group Pnma (No. 62)
Unique sites:
Eu (0.242, 0.250, 0.162)
Er (0.067, 0.250, 0.389)
Er (0.082, 0.250, 0.900)
S (0.024, 0.750, 0.784)
S (0.088, 0.250, 0.579)
S (0.131, 0.750, 0.029)
S (0.207, 0.750, 0.323)

Most intense lines, 2θ from 10° to 80°, sorted by position:
- hkl 0 0 4, 25.10°, I = 42
- hkl 3 0 2, 25.78°, I = 100
- hkl 1 1 2, 26.94°, I = 66
- hkl 2 1 0, 27.16°, I = 34
- hkl 1 1 3, 30.46°, I = 32
- hkl 4 0 2, 32.69°, I = 22
- hkl 2 1 4, 37.34°, I = 54
- hkl 4 1 0, 37.95°, I = 24
- hkl 0 2 0, 46.04°, I = 51
- hkl 3 2 2, 53.52°, I = 28

(6)
Starting from a PBE-relaxed structure, the powder diffractogram of Er2F5 was simulated for Cu Ka.
Peak positions follow from Bragg's law for the DFT cell and can differ from measured ones.

a = 12.209 Å, b = 4.881 Å, c = 6.542 Å
α = 90.00°, β = 101.13°, γ = 90.00°
Space group C2/c (No. 15)
Unique sites:
Er (0.110, 0.221, 0.106)
F (0.000, 0.077, 0.750)
F (0.078, 0.395, 0.411)
F (0.212, 0.063, 0.859)

Most intense lines, 2θ from 10° to 80°, sorted by position:
- hkl 1 1 1, 24.91°, I = 100
- hkl 2 0 -2, 28.91°, I = 27
- hkl 4 0 0, 29.83°, I = 25
- hkl 3 1 -1, 30.16°, I = 53
- hkl 2 0 2, 34.15°, I = 15
- hkl 1 1 -3, 45.57°, I = 25
- hkl 5 1 1, 46.81°, I = 19
- hkl 2 2 -2, 47.49°, I = 19
- hkl 4 2 0, 48.10°, I = 16
- hkl 5 1 -3, 55.05°, I = 13

(7)
Starting from a PBE-relaxed structure, the powder diffractogram of ErGa2F8 was simulated for Cu Ka.
Peak positions follow from Bragg's law for the DFT cell and can differ from measured ones.

a = 6.6655 Å, b = 6.6655 Å, c = 4.0583 Å
α = 90.00°, β = 90.00°, γ = 120.00°
Space group P-3 (No. 147)
Unique sites:
Er (0.0000, 0.0000, 0.0000)
Ga (0.3333, 0.6667, 0.7390)
F (0.1649, 0.3314, 0.7417)
F (0.3333, 0.6667, 0.2438)

Most intense lines, 2θ from 10° to 80°, sorted by position:
- hkl 1 0 0, 15.35°, I = 32
- hkl 1 1 0, 26.75°, I = 100
- hkl 1 0 1, 26.85°, I = 90
- hkl 1 1 1, 34.83°, I = 26
- hkl 2 0 1, 38.27°, I = 24
- hkl 3 0 0, 47.28°, I = 60
- hkl 0 1 2, 47.50°, I = 24
- hkl 2 2 0, 55.11°, I = 28
- hkl 2 0 2, 55.35°, I = 25
- hkl 3 -2 2, 62.51°, I = 22

(8)
Starting from a PBE-relaxed structure, the powder diffractogram of ErHF was simulated for Cu Ka.
Peak positions follow from Bragg's law for the DFT cell and can differ from measured ones.

a = 3.6580 Å, b = 3.6580 Å, c = 21.3926 Å
α = 90.00°, β = 90.00°, γ = 120.00°
Space group R-3m (No. 166, hexagonal axes)
Unique sites:
Er (0.0000, 0.0000, 0.0836)
H (0.0000, 0.0000, 0.4119)
F (0.0000, 0.0000, 0.2005)

Most intense lines, 2θ from 10° to 80°, sorted by position:
- hkl 0 0 6, 24.97°, I = 55
- hkl 1 0 1, 28.48°, I = 100
- hkl 0 1 2, 29.40°, I = 18
- hkl 1 0 4, 32.86°, I = 19
- hkl 0 1 5, 35.25°, I = 39
- hkl 1 0 7, 41.04°, I = 42
- hkl 1 1 0, 49.86°, I = 33
- hkl 0 1 11, 55.44°, I = 16
- hkl 1 1 6, 56.55°, I = 35
- hkl 1 1 12, 74.30°, I = 14

(9)
Starting from a PBE-relaxed structure, the powder diffractogram of RbErHgF6 was simulated for Cu Ka.
Peak positions follow from Bragg's law for the DFT cell and can differ from measured ones.

a = 6.1787 Å, b = 6.1787 Å, c = 11.3100 Å
α = 90.00°, β = 90.00°, γ = 120.00°
Space group P-31c (No. 163)
Unique sites:
Rb (0.0000, 0.0000, 0.0000)
Er (0.3333, 0.6667, 0.2500)
Hg (0.3333, 0.6667, 0.7500)
F (0.0213, 0.3883, 0.1463)

Most intense lines, 2θ from 10° to 80°, sorted by position:
- hkl 0 0 2, 15.67°, I = 50
- hkl 1 0 0, 16.57°, I = 18
- hkl 1 0 2, 22.88°, I = 100
- hkl 1 1 0, 28.90°, I = 59
- hkl 1 1 2, 33.04°, I = 41
- hkl 2 0 2, 37.18°, I = 26
- hkl 1 1 4, 43.38°, I = 62
- hkl 2 1 2, 47.76°, I = 28
- hkl 3 0 0, 51.22°, I = 22
- hkl 4 -2 4, 69.32°, I = 14

(10)
Starting from a PBE-relaxed structure, the powder diffractogram of Rb2ErHgF6 was simulated for Cu Ka.
Peak positions follow from Bragg's law for the DFT cell and can differ from measured ones.

a = 6.557 Å, b = 9.402 Å, c = 6.946 Å
α = 90.00°, β = 90.00°, γ = 90.00°
Space group Pmmn (No. 59, origin choice 2)
Unique sites:
Rb (0.250, 0.018, 0.214)
Er (0.250, 0.750, 0.778)
Hg (0.250, 0.250, 0.719)
F (0.004, 0.750, 0.574)
F (0.020, 0.750, 0.003)
F (0.250, 0.521, 0.797)

Most intense lines, 2θ from 10° to 80°, sorted by position:
- hkl 1 0 1, 18.61°, I = 26
- hkl 0 2 0, 18.88°, I = 13
- hkl 0 0 2, 25.65°, I = 25
- hkl 1 2 1, 26.63°, I = 100
- hkl 2 0 0, 27.20°, I = 25
- hkl 2 0 2, 37.73°, I = 30
- hkl 0 4 0, 38.29°, I = 16
- hkl 1 2 3, 45.83°, I = 17
- hkl 3 2 1, 47.72°, I = 21
- hkl 2 4 2, 54.85°, I = 18

(11)
Starting from a PBE-relaxed structure, the powder diffractogram of KEr3F10 was simulated for Cu Ka.
Peak positions follow from Bragg's law for the DFT cell and can differ from measured ones.

a = 11.549 Å, b = 11.549 Å, c = 11.549 Å
α = 90.00°, β = 90.00°, γ = 90.00°
Space group Fm-3m (No. 225)
Unique sites:
K (0.250, 0.250, 0.250)
Er (0.000, 0.000, 0.240)
F (0.000, 0.165, 0.335)
F (0.112, 0.112, 0.112)

Most intense lines, 2θ from 10° to 80°, sorted by position:
- hkl 2 0 0, 15.34°, I = 21
- hkl 2 2 0, 21.77°, I = 22
- hkl 2 2 2, 26.74°, I = 100
- hkl 4 0 0, 30.97°, I = 41
- hkl 4 4 0, 44.37°, I = 48
- hkl 6 0 0, 47.22°, I = 9
- hkl 6 2 2, 52.56°, I = 55
- hkl 4 4 4, 55.09°, I = 13
- hkl 6 6 2, 71.17°, I = 19
- hkl 8 4 0, 73.32°, I = 13